For HoBe12, a DFT-relaxed cell (PBE, OQMD) gives the computed X-ray diffraction stick pattern in this record (copper Kα).
No peak broadening, texture or thermal motion is included.

Cell lengths 7.6767, 7.6767, 4.2018 Å; angles 90.00, 90.00, 90.00 degrees
Space group I4/mmm (No. 139)
Asymmetric unit:
Ho 0.0000 0.0000 0.0000 (multiplicity 2)
Be 0.0000 0.2342 0.5000 (multiplicity 8)
Be 0.0000 0.3577 0.0000 (multiplicity 8)
Be 0.2500 0.2500 0.2500 (multiplicity 8)

Main lines, in order of rising 2θ (10 to 80 degrees two-theta):
- hkl 1 1 0, 16.33 deg, intensity 100
- hkl 2 0 0, 23.17 deg, intensity 44
- hkl 1 0 1, 24.15 deg, intensity 88
- hkl 2 1 1, 33.71 deg, intensity 86
- hkl 3 1 0, 37.03 deg, intensity 33
- hkl 3 2 1, 47.90 deg, intensity 41



For LaNdBrN, a DFT-relaxed cell (PBE, OQMD) gives the computed X-ray diffraction stick pattern in this record (copper Kα).
No peak broadening, texture or thermal motion is included.

Cell lengths 3.7475, 3.7475, 14.8408 Å; angles 90.00, 90.00, 120.00 degrees
Space group P6_3mc (No. 186)
Asymmetric unit:
La 0.3333 0.6667 0.0000 (multiplicity 2)
Nd 0.3333 0.6667 0.3188 (multiplicity 2)
Br 0.3333 0.6667 0.6637 (multiplicity 2)
N 0.0000 0.0000 0.4064 (multiplicity 2)

Main lines, in order of rising 2θ (10 to 80 degrees two-theta):
- hkl 1 0 0, 27.48 deg, intensity 23
- hkl 1 0 3, 33.01 deg, intensity 100
- hkl 0 0 6, 36.32 deg, intensity 15
- hkl 1 1 0, 48.59 deg, intensity 24
- hkl 2 0 3, 60.00 deg, intensity 18
- hkl 1 1 6, 62.15 deg, intensity 19



For Cu7Pd3, a DFT-relaxed cell (PBE, OQMD) gives the computed X-ray diffraction stick pattern in this record (copper Kα).
No peak broadening, texture or thermal motion is included.

Cell lengths 13.4627, 3.7941, 5.2627 Å; angles 90.00, 103.33, 90.00 degrees
Space group C2/m (No. 12)
Asymmetric unit:
Cu 0.0000 0.0000 0.0000 (multiplicity 2)
Cu 0.0983 0.5000 0.8046 (multiplicity 4)
Cu 0.0999 0.5000 0.3061 (multiplicity 4)
Cu 0.1997 0.0000 0.6014 (multiplicity 4)
Pd 0.0000 0.0000 0.5000 (multiplicity 2)
Pd 0.1970 0.0000 0.1081 (multiplicity 4)

Main lines, in order of rising 2θ (10 to 80 degrees two-theta):
- hkl 1 1 -2, 41.79 deg, intensity 100
- hkl 5 1 0, 41.90 deg, intensity 100
- hkl 0 2 0, 47.96 deg, intensity 33
- hkl 6 0 -2, 48.13 deg, intensity 32
- hkl 4 0 2, 50.02 deg, intensity 29
- hkl 4 2 2, 71.80 deg, intensity 27



For Dy2ScCu4Si2Ge2, a DFT-relaxed cell (PBE, OQMD) gives the computed X-ray diffraction stick pattern in this record (copper Kα).
No peak broadening, texture or thermal motion is included.

Cell lengths 4.1259, 6.4802, 13.7273 Å; angles 90.00, 90.00, 90.00 degrees
Space group Immm (No. 71)
Asymmetric unit:
Dy 0.0000 0.0000 0.1295 (multiplicity 4)
Sc 0.0000 0.5000 0.0000 (multiplicity 2)
Cu 0.0000 0.1915 0.3260 (multiplicity 8)
Si 0.0000 0.5000 0.2132 (multiplicity 4)
Ge 0.0000 0.2988 0.5000 (multiplicity 4)

Main lines, in order of rising 2θ (10 to 80 degrees two-theta):
- hkl 0 1 1, 15.12 deg, intensity 41
- hkl 1 2 1, 35.84 deg, intensity 100
- hkl 1 1 4, 36.78 deg, intensity 86
- hkl 0 0 6, 39.41 deg, intensity 50
- hkl 2 0 0, 43.89 deg, intensity 41
- hkl 0 3 3, 46.49 deg, intensity 37



For ZrTaGa, a DFT-relaxed cell (PBE, OQMD) gives the computed X-ray diffraction stick pattern in this record (copper Kα).
No peak broadening, texture or thermal motion is included.

Cell lengths 5.2460, 6.5173, 6.5254 Å; angles 90.00, 90.00, 90.00 degrees
Space group Ima2 (No. 46)
Asymmetric unit:
Zr 0.2500 0.1525 0.0000 (multiplicity 4)
Ta 0.2500 0.6556 0.8093 (multiplicity 4)
Ga 0.0000 0.0000 0.6487 (multiplicity 4)

Main lines, in order of rising 2θ (10 to 80 degrees two-theta):
- hkl 1 2 1, 35.21 deg, intensity 100
- hkl 2 1 1, 39.53 deg, intensity 22
- hkl 0 3 1, 43.90 deg, intensity 31
- hkl 2 0 2, 44.32 deg, intensity 19
- hkl 3 2 1, 61.87 deg, intensity 19
- hkl 2 3 3, 71.09 deg, intensity 16



For Y2Bi3Mo4N3, a DFT-relaxed cell (PBE, OQMD) gives the computed X-ray diffraction stick pattern in this record (copper Kα).
No peak broadening, texture or thermal motion is included.

Cell lengths 10.0756, 5.9684, 14.7415 Å; angles 90.00, 92.81, 90.00 degrees
Space group C2/c (No. 15)
Asymmetric unit:
Y 0.0791 0.0846 0.4036 (multiplicity 8)
Bi 0.0000 0.4296 0.2500 (multiplicity 4)
Bi 0.1765 0.1288 0.7195 (multiplicity 8)
Mo 0.0782 0.4207 0.5660 (multiplicity 8)
Mo 0.2313 0.4220 0.9482 (multiplicity 8)
N 0.0803 0.2478 0.0048 (multiplicity 8)
N 0.2500 0.2500 0.5000 (multiplicity 4)

Main lines, in order of rising 2θ (10 to 80 degrees two-theta):
- hkl 3 1 0, 30.57 deg, intensity 47
- hkl 3 1 -1, 30.92 deg, intensity 52
- hkl 3 1 2, 33.45 deg, intensity 98
- hkl 0 2 3, 35.20 deg, intensity 100
- hkl 3 1 -4, 38.49 deg, intensity 52
- hkl 3 3 -1, 53.79 deg, intensity 37